(1)
Starting from the PBE geometry in Alexandria, the powder diffraction line list of YPu2Ga was computed for Cu Kα, 1.54184 Å.
Kinematic intensities with the Lorentz-polarization factor, no thermal factor.

Crystal structure
Cell lengths 4.407, 4.407, 5.053 Å; angles 90.00, 90.00, 90.00 degrees
Space group P4/mmm (No. 123)
Unique sites:
Y 0.000 0.000 0.000 (multiplicity 1)
Pu 0.000 0.500 0.500 (multiplicity 2)
Ga 0.500 0.500 0.000 (multiplicity 1)

Most intense lines, 2θ = 10–90°, by angle:
index, d (Å), intensity
0 0 1, 5.053, 27
1 1 0, 3.116, 17
1 1 1, 2.652, 100
0 0 2, 2.526, 22
2 0 0, 2.203, 30
2 0 1, 2.020, 11
2 0 2, 1.661, 25
1 1 3, 1.482, 17
3 1 1, 1.343, 25
2 2 2, 1.326, 12

---

(2)
Starting from the PBE geometry in Alexandria, the powder diffraction line list of Pr7NdEr3 was computed for Cu Kα, 1.54184 Å.
Kinematic intensities with the Lorentz-polarization factor, no thermal factor.

Crystal structure
Cell lengths 11.877, 10.302, 6.482 Å; angles 90.00, 96.26, 90.00 degrees
Space group C2/m (No. 12)
Unique sites:
Pr 0.000 0.000 0.000 (multiplicity 2)
Pr 0.234 0.500 0.215 (multiplicity 4)
Pr 0.246 0.324 0.740 (multiplicity 8)
Nd 0.000 0.000 0.500 (multiplicity 2)
Er 0.000 0.333 0.000 (multiplicity 4)
Er 0.000 0.500 0.500 (multiplicity 2)

Most intense lines, 2θ = 10–90°, by angle:
index, d (Å), intensity
2 2 1, 3.224, 18
2 0 -2, 2.967, 87
4 0 0, 2.952, 77
1 3 1, 2.900, 100
2 0 2, 2.706, 58
3 3 -1, 2.463, 70
1 3 -3, 1.825, 25
5 3 1, 1.818, 24
2 6 -2, 1.485, 38
2 6 2, 1.450, 18